Entry 1:
# TlSn2As
Calculated powder diffractogram, Cu Kα. Input: a crystal structure in Alexandria, relaxed with PBE.
Neutral-atom scattering factors, no anomalous dispersion.

Lattice parameters (Å, degrees): 5.024 5.024 4.189 90.00 90.00 90.00
Fractional positions:
Tl (0.000, 0.000, 0.000)
Sn (0.000, 0.500, 0.500)
Sn (0.500, 0.000, 0.500)
As (0.500, 0.500, 0.000)

Largest 10 diffraction maxima, by angle, 10° ≤ 2θ ≤ 90°:
Position (°2θ), d/Å, I/Imax
17.65, 5.024, 12
27.73, 3.217, 8
33.06, 2.709, 100
35.74, 2.512, 41
43.19, 2.095, 12
51.44, 1.776, 15
57.27, 1.609, 21
62.52, 1.486, 33
69.37, 1.355, 12
72.77, 1.300, 11

=====

Entry 2:
# Rb3Te2Pt
Calculated powder diffractogram, Cu Kα. Input: a crystal structure in Alexandria, relaxed with PBE.
Neutral-atom scattering factors, no anomalous dispersion.

Lattice parameters (Å, degrees): 9.267 9.267 9.267 122.22 80.68 128.97
Fractional positions:
Rb (0.181, 0.668, 0.849)
Rb (0.250, 0.250, 0.000)
Rb (0.319, 0.168, 0.487)
Rb (0.681, 0.832, 0.513)
Rb (0.750, 0.750, 0.000)
Rb (0.819, 0.332, 0.151)
Te (0.071, 0.318, 0.389)
Te (0.429, 0.818, 0.247)
Te (0.571, 0.182, 0.753)
Te (0.929, 0.682, 0.611)
Pt (0.250, 0.750, 0.500)
Pt (0.750, 0.250, 0.500)

Largest 10 diffraction maxima, by angle, 10° ≤ 2θ ≤ 90°:
Position (°2θ), d/Å, I/Imax
11.70, 7.563, 100
12.53, 7.063, 83
23.53, 3.782, 21
29.40, 3.038, 61
29.72, 3.006, 21
29.99, 2.979, 59
32.62, 2.745, 35
33.89, 2.645, 19
38.19, 2.357, 36
43.78, 2.068, 20

=====

Entry 3:
# KGaP2O7
Calculated powder diffractogram, Cu Kα. Input: a crystal structure in Alexandria, relaxed with PBE.
Neutral-atom scattering factors, no anomalous dispersion.

Lattice parameters (Å, degrees): 7.444 9.984 8.293 90.00 106.91 90.00
Fractional positions:
K (0.177, 0.179, 0.057)
K (0.177, 0.321, 0.557)
K (0.823, 0.679, 0.443)
K (0.823, 0.821, 0.943)
Ga (0.238, 0.601, 0.260)
Ga (0.238, 0.899, 0.760)
Ga (0.762, 0.101, 0.240)
Ga (0.762, 0.399, 0.740)
P (0.129, 0.597, 0.831)
P (0.129, 0.903, 0.331)
P (0.438, 0.634, 0.691)
P (0.438, 0.866, 0.191)
P (0.562, 0.134, 0.809)
P (0.562, 0.366, 0.309)
P (0.871, 0.097, 0.669)
P (0.871, 0.403, 0.169)
O (0.008, 0.505, 0.278)
O (0.008, 0.995, 0.778)
O (0.080, 0.737, 0.753)
O (0.080, 0.763, 0.253)
O (0.143, 0.592, 0.015)
O (0.143, 0.908, 0.515)
O (0.320, 0.604, 0.511)
O (0.320, 0.896, 0.011)
O (0.334, 0.556, 0.811)
O (0.334, 0.944, 0.311)
O (0.363, 0.076, 0.763)
O (0.363, 0.424, 0.263)
O (0.452, 0.717, 0.243)
O (0.452, 0.783, 0.743)
O (0.548, 0.217, 0.257)
O (0.548, 0.283, 0.757)
O (0.637, 0.576, 0.737)
O (0.637, 0.924, 0.237)
O (0.666, 0.056, 0.689)
O (0.666, 0.444, 0.189)
O (0.680, 0.104, 0.989)
O (0.680, 0.396, 0.489)
O (0.857, 0.092, 0.485)
O (0.857, 0.408, 0.985)
O (0.920, 0.237, 0.747)
O (0.920, 0.263, 0.247)
O (0.992, 0.005, 0.222)
O (0.992, 0.495, 0.722)

Largest 10 diffraction maxima, by angle, 10° ≤ 2θ ≤ 90°:
Position (°2θ), d/Å, I/Imax
15.28, 5.798, 59
16.67, 5.320, 26
22.41, 3.967, 51
26.14, 3.409, 14
29.63, 3.015, 44
29.80, 2.998, 13
30.19, 2.960, 100
33.75, 2.656, 17
52.59, 1.740, 12
59.41, 1.556, 17

=====

Entry 4:
# Bi4Pb10Au
Calculated powder diffractogram, Cu Kα. Input: a crystal structure in Alexandria, relaxed with PBE.
Neutral-atom scattering factors, no anomalous dispersion.

Lattice parameters (Å, degrees): 8.961 8.961 8.961 103.40 103.40 122.45
Fractional positions:
Bi (0.087, 0.713, 0.801)
Bi (0.287, 0.087, 0.374)
Bi (0.713, 0.913, 0.626)
Bi (0.913, 0.287, 0.199)
Pb (0.091, 0.384, 0.908)
Pb (0.183, 0.091, 0.706)
Pb (0.250, 0.750, 0.500)
Pb (0.384, 0.477, 0.294)
Pb (0.477, 0.183, 0.092)
Pb (0.523, 0.817, 0.908)
Pb (0.616, 0.523, 0.706)
Pb (0.750, 0.250, 0.500)
Pb (0.817, 0.909, 0.294)
Pb (0.909, 0.616, 0.092)
Au (0.500, 0.500, 0.000)

Largest 10 diffraction maxima, by angle, 10° ≤ 2θ ≤ 90°:
Position (°2θ), d/Å, I/Imax
20.63, 4.306, 45
25.36, 3.513, 13
32.88, 2.724, 100
36.15, 2.485, 55
41.92, 2.155, 15
42.00, 2.151, 11
52.05, 1.757, 23
56.50, 1.629, 20
62.97, 1.476, 29
68.94, 1.362, 12

=====

Entry 5:
# Pm5Nd12Sc2
Calculated powder diffractogram, Cu Kα. Input: a crystal structure in Alexandria, relaxed with PBE.
Neutral-atom scattering factors, no anomalous dispersion.

Lattice parameters (Å, degrees): 11.849 11.849 8.810 110.90 110.90 34.91
Fractional positions:
Pm (0.000, 0.000, 0.000)
Pm (0.248, 0.248, 0.986)
Pm (0.354, 0.354, 0.406)
Pm (0.646, 0.646, 0.594)
Pm (0.752, 0.752, 0.014)
Nd (0.048, 0.544, 0.707)
Nd (0.131, 0.131, 0.528)
Nd (0.151, 0.641, 0.123)
Nd (0.359, 0.849, 0.877)
Nd (0.451, 0.451, 0.801)
Nd (0.456, 0.952, 0.293)
Nd (0.544, 0.048, 0.707)
Nd (0.549, 0.549, 0.199)
Nd (0.641, 0.151, 0.123)
Nd (0.849, 0.359, 0.877)
Nd (0.869, 0.869, 0.472)
Nd (0.952, 0.456, 0.293)
Sc (0.267, 0.733, 0.500)
Sc (0.733, 0.267, 0.500)

Largest 10 diffraction maxima, by angle, 10° ≤ 2θ ≤ 90°:
Position (°2θ), d/Å, I/Imax
23.33, 3.814, 11
30.05, 2.974, 100
30.67, 2.915, 28
31.38, 2.851, 28
32.99, 2.715, 41
36.57, 2.457, 36
49.59, 1.838, 13
50.54, 1.806, 14
57.09, 1.613, 17
62.45, 1.487, 11

=====

Entry 6:
# Cs5Cd2Hg4
Calculated powder diffractogram, Cu Kα. Input: a crystal structure in Alexandria, relaxed with PBE.
Neutral-atom scattering factors, no anomalous dispersion.

Lattice parameters (Å, degrees): 12.302 12.302 9.427 106.21 106.21 25.14
Fractional positions:
Cs (0.000, 0.000, 0.000)
Cs (0.336, 0.336, 0.062)
Cs (0.348, 0.348, 0.582)
Cs (0.652, 0.652, 0.418)
Cs (0.664, 0.664, 0.938)
Cd (0.062, 0.062, 0.625)
Cd (0.938, 0.938, 0.375)
Hg (0.202, 0.202, 0.701)
Hg (0.489, 0.489, 0.324)
Hg (0.511, 0.511, 0.676)
Hg (0.798, 0.798, 0.299)

Largest 10 diffraction maxima, by angle, 10° ≤ 2θ ≤ 90°:
Position (°2θ), d/Å, I/Imax
10.58, 8.361, 55
20.21, 4.394, 40
23.19, 3.835, 40
25.24, 3.529, 44
25.87, 3.444, 100
29.67, 3.011, 32
30.64, 2.918, 36
31.95, 2.801, 60
33.24, 2.695, 38
33.48, 2.677, 55